LiCrPO4: theoretical powder diffractogram (λ = 1.5418 Å (Cu Kα)), based on the GGA+U geometry in the Materials Project.

Atomic structure:
```
LiCrPO4
1.0
5.8857 0.0000 0.0000
0.0000 10.7575 0.0000
-0.3032 0.0000 10.0464
Li Cr P O
8 8 8 32
Direct
0.1025 0.1546 0.3551 Li
0.1025 0.3454 0.8551 Li
0.3843 0.6381 0.1013 Li
0.3843 0.8619 0.6013 Li
0.6157 0.1381 0.3987 Li
0.6157 0.3619 0.8987 Li
0.8975 0.6546 0.1449 Li
0.8975 0.8454 0.6449 Li
0.1585 0.6270 0.5192 Cr
0.1585 0.8730 0.0192 Cr
0.3682 0.0964 0.7777 Cr
0.3682 0.4036 0.2777 Cr
0.6318 0.5964 0.7223 Cr
0.6318 0.9036 0.2223 Cr
0.8415 0.1270 0.9808 Cr
0.8415 0.3730 0.4808 Cr
0.1278 0.6076 0.8423 P
0.1278 0.8924 0.3423 P
0.3743 0.1451 0.0931 P
0.3743 0.3549 0.5931 P
0.6257 0.6451 0.4069 P
0.6257 0.8549 0.9069 P
0.8722 0.1076 0.6577 P
0.8722 0.3924 0.1577 P
0.0818 0.0194 0.6669 O
0.0818 0.4806 0.1669 O
0.1134 0.6896 0.9712 O
0.1134 0.8104 0.4712 O
0.1320 0.6940 0.7165 O
0.1320 0.8060 0.2165 O
0.1713 0.0548 0.0760 O
0.1713 0.4452 0.5760 O
0.3229 0.2300 0.2100 O
0.3229 0.2700 0.7100 O
0.3482 0.5280 0.8555 O
0.3482 0.9720 0.3555 O
0.3997 0.5729 0.3725 O
0.3997 0.9271 0.8725 O
0.4104 0.2151 0.9599 O
0.4104 0.2849 0.4599 O
0.5896 0.7151 0.5401 O
0.5896 0.7849 0.0401 O
0.6003 0.0729 0.1275 O
0.6003 0.4271 0.6275 O
0.6518 0.0280 0.6445 O
0.6518 0.4720 0.1445 O
0.6771 0.7300 0.2900 O
0.6771 0.7700 0.7900 O
0.8287 0.5548 0.4240 O
0.8287 0.9452 0.9240 O
0.8680 0.1940 0.7835 O
0.8680 0.3060 0.2835 O
0.8866 0.1896 0.5288 O
0.8866 0.3104 0.0288 O
0.9182 0.5194 0.8331 O
0.9182 0.9806 0.3331 O
```

The 10 most intense peaks (10 to 90 degrees two-theta), by intensity:
(2 1 0), 2θ 31.5, I = 1000; (0 1 1), 2θ 12.1, I = 586; (0 2 1), 2θ 18.7, I = 359; (1 2 3), 2θ 35.4, I = 284; (2 1 1), 2θ 33.1, I = 137; (1 5 -3), 2θ 52.7, I = 134; (0 3 1), 2θ 26.4, I = 131; (0 3 2), 2θ 30.6, I = 119; (0 1 2), 2θ 19.5, I = 118; (0 4 0), 2θ 33.3, I = 107